For SbH3C2O4F6, a GGA-PBE-relaxed structure gives the theoretical powder diffraction line list in this record (CuKα).
Neutral-atom scattering factors, no anomalous dispersion.

Largest 10 diffraction maxima, in order of falling intensity, 2θ = 15–90°:
two_theta	I_rel
22.1	100
23.2	82
20.3	77
23.6	71
22.9	68
17.6	41
44.2	28
30.1	27
36.1	26
27.7	26

Cell: 8.0030 8.0030 8.7739 Å, 121.07 121.07 71.13°
Element x y z (fractional)
1 Sb 0.1476 0.8524 0.5000
2 Sb 0.8524 0.1476 0.0000
3 H 0.3784 0.4021 0.4642
4 H 0.4021 0.3784 0.9642
5 H 0.4229 0.9423 0.3947
6 H 0.6216 0.9270 0.0674
7 H 0.9270 0.6216 0.5674
8 H 0.9423 0.4229 0.8947
9 C 0.1732 0.4837 0.7998
10 C 0.4837 0.1732 0.2998
11 C 0.5197 0.9505 0.2346
12 C 0.9505 0.5197 0.7346
13 O 0.2438 0.5263 0.7317
14 O 0.2582 0.4072 0.9272
15 O 0.4072 0.2582 0.4272
16 O 0.4815 0.8597 0.2959
17 O 0.5263 0.2438 0.2317
18 O 0.5925 0.8477 0.1103
19 O 0.8477 0.5925 0.6103
20 O 0.8597 0.4815 0.7959
21 F 0.0496 0.7576 0.2224
22 F 0.0720 0.9571 0.0082
23 F 0.2531 0.9484 0.7777
24 F 0.3279 0.9987 0.5356
25 F 0.3416 0.6326 0.4929
26 F 0.6326 0.3416 0.9929
27 F 0.7037 0.9643 0.9541
28 F 0.7576 0.0496 0.7224
29 F 0.9484 0.2531 0.2777
30 F 0.9571 0.0720 0.5082
31 F 0.9643 0.7037 0.4541
32 F 0.9987 0.3279 0.0356


For HgCF4, a GGA-PBE-relaxed structure gives the theoretical powder diffraction line list in this record (CuKα).
Neutral-atom scattering factors, no anomalous dispersion.

Largest 10 diffraction maxima, in order of falling intensity, 2θ = 15–90°:
two_theta	I_rel
25.0	100
21.4	84
32.1	78
32.9	61
33.8	57
25.2	54
19.8	47
24.7	35
22.8	33
31.5	32

Cell: 7.8886 8.3052 8.9783 Å, 90.00 90.00 90.00°
Element x y z (fractional)
1 Hg 0.1241 0.2500 0.1865
2 Hg 0.3759 0.7500 0.6865
3 Hg 0.6241 0.2500 0.3135
4 Hg 0.8759 0.7500 0.8135
5 C 0.1237 0.2500 0.6785
6 C 0.3763 0.7500 0.1785
7 C 0.6237 0.2500 0.8215
8 C 0.8763 0.7500 0.3215
9 F 0.0168 0.7500 0.4064
10 F 0.1250 0.1178 0.7648
11 F 0.1250 0.3822 0.7648
12 F 0.2385 0.7500 0.0903
13 F 0.2615 0.2500 0.5903
14 F 0.3750 0.6178 0.2648
15 F 0.3750 0.8822 0.2648
16 F 0.4832 0.2500 0.9064
17 F 0.5168 0.7500 0.0936
18 F 0.6250 0.1178 0.7352
19 F 0.6250 0.3822 0.7352
20 F 0.7385 0.7500 0.4097
21 F 0.7615 0.2500 0.9097
22 F 0.8750 0.6178 0.2352
23 F 0.8750 0.8822 0.2352
24 F 0.9832 0.2500 0.5936


For HgC4F6, a GGA-PBE-relaxed structure gives the theoretical powder diffraction line list in this record (CuKα).
Neutral-atom scattering factors, no anomalous dispersion.

Largest 10 diffraction maxima, in order of falling intensity, 2θ = 15–90°:
two_theta	I_rel
25.8	100
19.9	92
16.5	91
19.7	87
29.2	84
31.1	59
17.7	56
32.9	50
23.3	46
33.4	41

Cell: 5.2007 6.0328 6.8683 Å, 103.01 108.66 107.65°
Element x y z (fractional)
1 Hg 0.0000 0.0000 0.0000
2 C 0.1918 0.3190 0.7401
3 C 0.2098 0.1340 0.8126
4 C 0.7902 0.8660 0.1874
5 C 0.8082 0.6810 0.2599
6 F 0.0287 0.4432 0.7797
7 F 0.3289 0.4056 0.6212
8 F 0.3857 0.0241 0.7562
9 F 0.6143 0.9759 0.2438
10 F 0.6711 0.5944 0.3788
11 F 0.9713 0.5568 0.2203


For HgCSO3F3, a GGA-PBE-relaxed structure gives the theoretical powder diffraction line list in this record (CuKα).
Neutral-atom scattering factors, no anomalous dispersion.

Largest 10 diffraction maxima, in order of falling intensity, 2θ = 15–90°:
two_theta	I_rel
22.3	100
22.8	97
22.1	84
32.3	60
24.2	48
27.5	44
39.5	43
39.8	43
28.6	37
28.4	32

Cell: 5.3353 5.3415 10.8172 Å, 97.05 95.96 93.82°
Element x y z (fractional)
1 Hg 0.1401 0.1709 0.0752
2 Hg 0.8599 0.8291 0.9248
3 C 0.2447 0.3369 0.6444
4 C 0.7553 0.6631 0.3556
5 S 0.4277 0.3627 0.8039
6 S 0.5723 0.6373 0.1961
7 O 0.2658 0.4850 0.8902
8 O 0.3437 0.4730 0.2134
9 O 0.4801 0.1053 0.8212
10 O 0.5199 0.8947 0.1788
11 O 0.6563 0.5270 0.7866
12 O 0.7342 0.5150 0.1098
13 F 0.0360 0.1768 0.6408
14 F 0.1739 0.5667 0.6220
15 F 0.3861 0.2468 0.5553
16 F 0.6139 0.7532 0.4447
17 F 0.8261 0.4333 0.3780
18 F 0.9640 0.8232 0.3592


For Ho4C2NF, a GGA-PBE-relaxed structure gives the theoretical powder diffraction line list in this record (CuKα).
Neutral-atom scattering factors, no anomalous dispersion.

Largest 10 diffraction maxima, in order of falling intensity, 2θ = 15–90°:
two_theta	I_rel
31.0	100
35.8	63
30.8	33
51.5	32
36.0	32
61.4	23
51.9	21
51.7	11
64.6	11
61.5	10

Cell: 6.0951 3.5381 6.1442 Å, 90.00 109.07 90.00°
Element x y z (fractional)
1 Ho 0.2302 0.0000 0.2297
2 Ho 0.2436 0.5000 0.7577
3 Ho 0.7564 0.5000 0.2423
4 Ho 0.7698 0.0000 0.7703
5 C 0.0000 0.0000 0.5000
6 C 0.0000 0.5000 0.0000
7 N 0.5000 0.0000 0.0000
8 F 0.5000 0.5000 0.5000


For KCF4, a GGA-PBE-relaxed structure gives the theoretical powder diffraction line list in this record (CuKα).
Neutral-atom scattering factors, no anomalous dispersion.

Largest 10 diffraction maxima, in order of falling intensity, 2θ = 15–90°:
two_theta	I_rel
27.8	100
25.1	71
39.6	48
25.9	33
30.0	30
40.7	23
47.1	20
40.2	19
38.5	16
45.8	15

Cell: 4.5171 5.9517 7.7833 Å, 90.00 101.28 90.00°
Element x y z (fractional)
1 K 0.1971 0.0000 0.3610
2 K 0.8029 0.5000 0.6390
3 C 0.3966 0.9526 0.8325
4 C 0.6034 0.4526 0.1675
5 F 0.2881 0.6952 0.5980
6 F 0.2930 0.1423 0.7432
7 F 0.3004 0.4446 0.1513
8 F 0.3317 0.9663 0.9962
9 F 0.6683 0.4663 0.0038
10 F 0.6996 0.9446 0.8487
11 F 0.7070 0.6423 0.2568
12 F 0.7119 0.1952 0.4020


For KCOF3, a GGA-PBE-relaxed structure gives the theoretical powder diffraction line list in this record (CuKα).
Neutral-atom scattering factors, no anomalous dispersion.

Largest 10 diffraction maxima, in order of falling intensity, 2θ = 15–90°:
two_theta	I_rel
26.2	100
28.5	84
31.3	83
25.6	79
42.2	75
39.8	73
31.8	66
40.5	58
26.7	55
31.0	54

Cell: 5.6295 7.2337 8.6947 Å, 90.00 91.18 90.00°
Element x y z (fractional)
1 K 0.2283 0.1571 0.1749
2 K 0.2283 0.3429 0.6749
3 K 0.7717 0.6571 0.3251
4 K 0.7717 0.8429 0.8251
5 C 0.2347 0.7023 0.0731
6 C 0.2347 0.7977 0.5731
7 C 0.7653 0.2023 0.4269
8 C 0.7653 0.2977 0.9269
9 O 0.0546 0.7031 0.5888
10 O 0.0546 0.7969 0.0888
11 O 0.9454 0.2031 0.9112
12 O 0.9454 0.2969 0.4112
13 F 0.2596 0.6066 0.9315
14 F 0.2596 0.8934 0.4315
15 F 0.2756 0.5589 0.1852
16 F 0.2756 0.9411 0.6852
17 F 0.4609 0.6976 0.5837
18 F 0.4609 0.8024 0.0837
19 F 0.5391 0.1976 0.9163
20 F 0.5391 0.3024 0.4163
21 F 0.7244 0.0589 0.3148
22 F 0.7244 0.4411 0.8148
23 F 0.7404 0.1066 0.5685
24 F 0.7404 0.3934 0.0685


For K2Pb3C3O9F2, a GGA-PBE-relaxed structure gives the theoretical powder diffraction line list in this record (CuKα).
Neutral-atom scattering factors, no anomalous dispersion.

Largest 10 diffraction maxima, in order of falling intensity, 2θ = 15–90°:
two_theta	I_rel
26.8	100
33.4	52
43.3	43
19.4	40
51.2	31
19.1	28
55.7	25
37.7	17
22.4	14
38.9	14

Cell: 5.3721 5.3721 23.8392 Å, 90.00 90.00 120.00°
Element x y z (fractional)
1 K 0.3333 0.6667 0.1530
2 K 0.3333 0.6667 0.3470
3 K 0.6667 0.3333 0.6530
4 K 0.6667 0.3333 0.8470
5 Pb 0.3333 0.6667 0.5500
6 Pb 0.3333 0.6667 0.7500
7 Pb 0.3333 0.6667 0.9500
8 Pb 0.6667 0.3333 0.0500
9 Pb 0.6667 0.3333 0.2500
10 Pb 0.6667 0.3333 0.4500
11 C 0.0000 0.0000 0.0653
12 C 0.0000 0.0000 0.2500
13 C 0.0000 0.0000 0.4347
14 C 0.0000 0.0000 0.5653
15 C 0.0000 0.0000 0.7500
16 C 0.0000 0.0000 0.9347
17 O 0.1399 0.2798 0.0651
18 O 0.1399 0.2799 0.2500
19 O 0.1399 0.2798 0.4349
20 O 0.1399 0.8601 0.0651
21 O 0.1399 0.8601 0.2500
22 O 0.1399 0.8601 0.4349
23 O 0.2798 0.1399 0.5651
24 O 0.2799 0.1399 0.7500
25 O 0.2798 0.1399 0.9349
26 O 0.7202 0.8601 0.0651
27 O 0.7201 0.8601 0.2500
28 O 0.7202 0.8601 0.4349
29 O 0.8601 0.1399 0.5651
30 O 0.8601 0.1399 0.7500
31 O 0.8601 0.1399 0.9349
32 O 0.8601 0.7202 0.5651
33 O 0.8601 0.7201 0.7500
34 O 0.8601 0.7202 0.9349
35 F 0.3333 0.6667 0.6470
36 F 0.3333 0.6667 0.8530
37 F 0.6667 0.3333 0.1470
38 F 0.6667 0.3333 0.3530


For K2RbCO3F, a GGA-PBE-relaxed structure gives the theoretical powder diffraction line list in this record (CuKα).
Neutral-atom scattering factors, no anomalous dispersion.

Largest 10 diffraction maxima, in order of falling intensity, 2θ = 15–90°:
two_theta	I_rel
32.1	100
34.0	89
28.6	81
28.8	81
28.0	52
36.0	49
27.8	45
35.0	41
36.1	36
35.8	28

Cell: 7.0982 7.0982 7.2270 Å, 114.99 114.99 66.37°
Element x y z (fractional)
1 K 0.0000 0.0000 0.0000
2 K 0.1638 0.4218 0.5797
3 K 0.5782 0.8362 0.4203
4 K 0.6634 0.3366 0.5000
5 Rb 0.0775 0.4887 0.0692
6 Rb 0.5113 0.9225 0.9308
7 C 0.0767 0.9233 0.5000
8 C 0.5822 0.4178 0.0000
9 O 0.0769 0.0926 0.6709
10 O 0.2451 0.7549 0.5000
11 O 0.4136 0.5864 0.0000
12 O 0.5913 0.2583 0.8227
13 O 0.7417 0.4087 0.1773
14 O 0.9074 0.9231 0.3291
15 F 0.3291 0.1643 0.2635
16 F 0.8357 0.6709 0.7365


For LaC2F, a GGA-PBE-relaxed structure gives the theoretical powder diffraction line list in this record (CuKα).
Neutral-atom scattering factors, no anomalous dispersion.

Largest 10 diffraction maxima, in order of falling intensity, 2θ = 15–90°:
two_theta	I_rel
18.0	100
39.5	76
30.2	57
47.7	44
27.3	42
35.4	37
36.5	31
58.8	23
61.5	20
68.2	14

Cell: 10.1204 10.1204 10.1204 Å, 161.14 161.14 26.79°
Element x y z (fractional)
1 La 0.3750 0.6250 0.7500
2 La 0.6250 0.3750 0.2500
3 C 0.0000 0.0000 0.0000
4 C 0.0000 0.0000 0.5000
5 C 0.0000 0.5000 0.0000
6 C 0.5000 0.0000 0.5000
7 F 0.1250 0.8750 0.2500
8 F 0.8750 0.1250 0.7500


For La4C2F5, a GGA-PBE-relaxed structure gives the theoretical powder diffraction line list in this record (CuKα).
Neutral-atom scattering factors, no anomalous dispersion.

Largest 10 diffraction maxima, in order of falling intensity, 2θ = 15–90°:
two_theta	I_rel
35.0	100
45.8	95
27.9	72
29.1	68
28.9	47
21.5	46
23.3	44
26.3	33
35.3	31
32.0	27

Cell: 8.6228 8.6228 8.6228 Å, 154.16 131.71 55.57°
Element x y z (fractional)
1 La 0.1947 0.1947 0.0000
2 La 0.2351 0.5000 0.7351
3 La 0.7649 0.5000 0.2649
4 La 0.8053 0.8053 0.0000
5 C 0.0469 0.0469 0.0000
6 C 0.9531 0.9531 0.0000
7 F 0.0511 0.3175 0.7336
8 F 0.4161 0.6825 0.7336
9 F 0.5000 0.0000 0.5000
10 F 0.5839 0.3175 0.2664
11 F 0.9489 0.6825 0.2664